Record 1
The following is a calculated XRD peak list of Mn6PbO12. It was derived from a DFT-relaxed cell (GGA+U, the Materials Project), using CuKα.
Peak positions follow from Bragg's law for the DFT cell and can differ from measured ones.

Top 10 peaks for 15° ≤ 2θ ≤ 90°, low angle first:
two_theta	d/Å	I/Imax
19.70	4.507	52
23.42	3.798	68
23.56	3.775	67
26.62	3.349	50
28.09	3.176	57
28.45	3.137	100
28.72	3.109	99
29.07	3.072	56
36.16	2.484	67
40.88	2.207	69

Crystal structure
Unit cell a=8.2548 b=8.2548 c=9.7489 alpha=125.33 beta=125.33 gamma=66.18
Positions (direct):
1 Mn 0.0024 0.6700 0.1848
2 Mn 0.1454 0.1454 0.4732
3 Mn 0.1868 0.5187 0.5202
4 Mn 0.3300 0.9976 0.8152
5 Mn 0.3332 0.3332 0.1816
6 Mn 0.4813 0.8132 0.4798
7 Mn 0.5187 0.1868 0.5202
8 Mn 0.6668 0.6668 0.8184
9 Mn 0.6700 0.0024 0.1848
10 Mn 0.8132 0.4813 0.4798
11 Mn 0.8546 0.8546 0.5268
12 Mn 0.9976 0.3300 0.8152
13 Pb 0.2709 0.7291 0.0000
14 Pb 0.7291 0.2709 0.0000
15 O 0.0131 0.6796 0.3902
16 O 0.0158 0.6738 0.6527
17 O 0.0309 0.3724 0.0550
18 O 0.0441 0.0441 0.7219
19 O 0.2892 0.6228 0.2758
20 O 0.2947 0.2947 0.9439
21 O 0.3204 0.9869 0.6098
22 O 0.3262 0.9842 0.3473
23 O 0.3399 0.3399 0.6424
24 O 0.3481 0.3481 0.3904
25 O 0.3724 0.0309 0.0550
26 O 0.3772 0.7108 0.7242
27 O 0.6228 0.2892 0.2758
28 O 0.6276 0.9691 0.9450
29 O 0.6519 0.6519 0.6096
30 O 0.6601 0.6601 0.3576
31 O 0.6738 0.0158 0.6527
32 O 0.6796 0.0131 0.3902
33 O 0.7053 0.7053 0.0561
34 O 0.7108 0.3772 0.7242
35 O 0.9559 0.9559 0.2781
36 O 0.9691 0.6276 0.9450
37 O 0.9842 0.3262 0.3473
38 O 0.9869 0.3204 0.6098

Record 2
The following is a calculated XRD peak list of MnPb2O4. It was derived from a DFT-relaxed cell (GGA+U, the Materials Project), using CuKα.
Peak positions follow from Bragg's law for the DFT cell and can differ from measured ones.

Top 10 peaks for 15° ≤ 2θ ≤ 90°, low angle first:
two_theta	d/Å	I/Imax
22.77	3.906	22
27.45	3.249	100
28.95	3.084	20
29.94	2.985	65
30.55	2.926	23
34.19	2.622	30
34.96	2.567	34
49.71	1.834	21
53.43	1.715	22
59.17	1.562	21

Crystal structure
Unit cell a=13.0854 b=13.0854 c=5.2455 alpha=90.00 beta=90.00 gamma=90.00
Positions (direct):
1 Mn 0.1938 0.2290 0.2394
2 Mn 0.2290 0.8062 0.7607
3 Mn 0.2710 0.3062 0.7393
4 Mn 0.3062 0.7290 0.2606
5 Mn 0.6938 0.2710 0.2606
6 Mn 0.7290 0.6938 0.7393
7 Mn 0.7710 0.1938 0.7607
8 Mn 0.8062 0.7710 0.2394
9 Pb 0.0058 0.6726 0.7935
10 Pb 0.0796 0.8766 0.2433
11 Pb 0.1234 0.0796 0.7567
12 Pb 0.1726 0.5058 0.2935
13 Pb 0.3274 0.0058 0.2065
14 Pb 0.3766 0.5796 0.7433
15 Pb 0.4204 0.3766 0.2567
16 Pb 0.4942 0.1726 0.7065
17 Pb 0.5058 0.8274 0.7065
18 Pb 0.5796 0.6234 0.2567
19 Pb 0.6234 0.4204 0.7433
20 Pb 0.6726 0.9942 0.2065
21 Pb 0.8274 0.4942 0.2935
22 Pb 0.8766 0.9204 0.7567
23 Pb 0.9204 0.1234 0.2433
24 Pb 0.9942 0.3274 0.7935
25 O 0.0579 0.2265 0.0999
26 O 0.0875 0.8149 0.6549
27 O 0.1413 0.2797 0.5667
28 O 0.1761 0.7435 0.0731
29 O 0.1851 0.0875 0.3451
30 O 0.2203 0.3587 0.0667
31 O 0.2265 0.9421 0.9001
32 O 0.2435 0.6761 0.5731
33 O 0.2565 0.1761 0.9269
34 O 0.2735 0.4421 0.5999
35 O 0.2797 0.8587 0.4333
36 O 0.3149 0.5875 0.1549
37 O 0.3239 0.2435 0.4269
38 O 0.3587 0.7797 0.9333
39 O 0.4125 0.3149 0.8451
40 O 0.4421 0.7265 0.4001
41 O 0.5579 0.2735 0.4001
42 O 0.5875 0.6851 0.8451
43 O 0.6413 0.2203 0.9333
44 O 0.6761 0.7565 0.4269
45 O 0.6851 0.4125 0.1549
46 O 0.7203 0.1413 0.4333
47 O 0.7265 0.5579 0.5999
48 O 0.7435 0.8239 0.9269
49 O 0.7565 0.3239 0.5731
50 O 0.7735 0.0579 0.9001
51 O 0.7797 0.6413 0.0667
52 O 0.8149 0.9125 0.3451
53 O 0.8239 0.2565 0.0731
54 O 0.8587 0.7203 0.5667
55 O 0.9125 0.1851 0.6549
56 O 0.9421 0.7735 0.0999

Record 3
The following is a calculated XRD peak list of MnPbO3. It was derived from a DFT-relaxed cell (GGA+U, the Materials Project), using CuKα.
Peak positions follow from Bragg's law for the DFT cell and can differ from measured ones.

Top 10 peaks for 15° ≤ 2θ ≤ 90°, low angle first:
two_theta	d/Å	I/Imax
22.72	3.915	32
32.34	2.768	100
39.89	2.260	25
46.39	1.957	29
52.25	1.751	17
57.68	1.598	40
67.70	1.384	18
72.43	1.305	9
77.04	1.238	17
81.56	1.180	9

Crystal structure
Unit cell a=3.9146 b=3.9146 c=3.9146 alpha=90.00 beta=90.00 gamma=90.00
Positions (direct):
1 Mn 0.0000 0.0000 0.0000
2 Pb 0.5000 0.5000 0.5000
3 O 0.0000 0.0000 0.5000
4 O 0.0000 0.5000 0.0000
5 O 0.5000 0.0000 0.0000

Record 4
The following is a calculated XRD peak list of MnPbO3. It was derived from a DFT-relaxed cell (GGA+U, the Materials Project), using CuKα.
Peak positions follow from Bragg's law for the DFT cell and can differ from measured ones.

Top 10 peaks for 15° ≤ 2θ ≤ 90°, low angle first:
two_theta	d/Å	I/Imax
24.26	3.669	72
25.25	3.527	73
25.88	3.443	78
28.13	3.172	100
29.84	2.994	84
30.31	2.949	45
31.55	2.836	40
34.74	2.582	29
35.95	2.498	52
37.32	2.409	28

Crystal structure
Unit cell a=10.3607 b=5.8976 c=5.0666 alpha=90.00 beta=94.56 gamma=90.00
Positions (direct):
1 Mn 0.0000 0.1232 0.2500
2 Mn 0.0000 0.3734 0.7500
3 Mn 0.0000 0.6266 0.2500
4 Mn 0.0000 0.8768 0.7500
5 Pb 0.3712 0.2875 0.9923
6 Pb 0.3712 0.7125 0.4923
7 Pb 0.6288 0.2875 0.5077
8 Pb 0.6288 0.7125 0.0077
9 O 0.0952 0.1209 0.5981
10 O 0.0952 0.8791 0.0981
11 O 0.0955 0.3725 0.0974
12 O 0.0955 0.6275 0.5974
13 O 0.4035 0.3238 0.4659
14 O 0.4035 0.6762 0.9659
15 O 0.5965 0.3238 0.0341
16 O 0.5965 0.6762 0.5341
17 O 0.9045 0.3725 0.4026
18 O 0.9045 0.6275 0.9026
19 O 0.9048 0.1209 0.9019
20 O 0.9048 0.8791 0.4019

Record 5
The following is a calculated XRD peak list of MnPbO3. It was derived from a DFT-relaxed cell (GGA+U, the Materials Project), using CuKα.
Peak positions follow from Bragg's law for the DFT cell and can differ from measured ones.

Top 10 peaks for 15° ≤ 2θ ≤ 90°, low angle first:
two_theta	d/Å	I/Imax
26.23	3.398	20
26.69	3.340	15
27.09	3.292	22
31.27	2.861	22
31.78	2.816	22
31.98	2.798	100
32.24	2.776	17
39.00	2.309	20
42.16	2.143	14
56.96	1.617	13

Crystal structure
Unit cell a=5.5941 b=5.5941 c=13.8559 alpha=91.05 beta=91.05 gamma=119.84
Positions (direct):
1 Mn 0.0000 0.0000 0.0000
2 Mn 0.0000 0.0000 0.5000
3 Mn 0.3196 0.6455 0.8451
4 Mn 0.3545 0.6804 0.6549
5 Mn 0.6455 0.3196 0.3451
6 Mn 0.6804 0.3545 0.1549
7 Pb 0.0107 0.9893 0.7500
8 Pb 0.3293 0.6696 0.4107
9 Pb 0.3304 0.6707 0.0893
10 Pb 0.6696 0.3293 0.9107
11 Pb 0.6707 0.3304 0.5893
12 Pb 0.9893 0.0107 0.2500
13 O 0.0402 0.5153 0.7351
14 O 0.1059 0.2749 0.8995
15 O 0.1062 0.7702 0.9201
16 O 0.2207 0.3855 0.5583
17 O 0.2298 0.8938 0.5799
18 O 0.2749 0.1059 0.3995
19 O 0.3855 0.2207 0.0583
20 O 0.4847 0.9598 0.7649
21 O 0.4873 0.5127 0.7500
22 O 0.5127 0.4873 0.2500
23 O 0.5153 0.0402 0.2351
24 O 0.6145 0.7793 0.9417
25 O 0.7251 0.8941 0.6005
26 O 0.7702 0.1062 0.4201
27 O 0.7793 0.6145 0.4417
28 O 0.8938 0.2298 0.0799
29 O 0.8941 0.7251 0.1005
30 O 0.9598 0.4847 0.2649